(1)
Structure and simulated powder X-ray diffraction pattern of YMnFe10 (DFT lattice parameters and positions (PBE); Cu Ka).
Kinematic intensities with the Lorentz-polarization factor, no thermal factor.

The 10 most intense peaks (2θ from 15° to 90°), low angle first:
- d = 2.886 Å, 30.99°, intensity 23.5
- d = 2.423 Å, 37.11°, intensity 22.4
- d = 2.098 Å, 43.11°, intensity 31.0
- d = 2.069 Å, 43.76°, intensity 100.0
- d = 1.988 Å, 45.64°, intensity 32.1
- d = 1.856 Å, 49.10°, intensity 28.6
- d = 1.443 Å, 64.58°, intensity 17.0
- d = 1.319 Å, 71.50°, intensity 19.5
- d = 1.211 Å, 79.05°, intensity 15.6
- d = 1.163 Å, 83.07°, intensity 13.3

Crystal structure
```
data_YMnFe10
_space_group_name_H-M_alt 'P m m m'
_space_group_IT_number 47
_cell_length_a 3.976
_cell_length_b 4.843
_cell_length_c 8.397
_cell_angle_alpha 90.00
_cell_angle_beta 90.00
_cell_angle_gamma 90.00
loop_
_space_group_symop_operation_xyz
'x,y,z'
'-x,-y,-z'
'-x,-y,z'
'x,y,-z'
'x,-y,-z'
'-x,y,z'
'-x,y,-z'
'x,-y,z'
loop_
_atom_site_label
_atom_site_fract_x
_atom_site_fract_y
_atom_site_fract_z
Y1 0.000 0.000 0.000
Mn1 0.000 0.500 0.500
Fe1 0.000 0.000 0.343
Fe2 0.000 0.500 0.180
Fe3 0.500 0.000 0.500
Fe4 0.500 0.253 0.258
Fe5 0.500 0.500 0.000
```

(2)
Structure and simulated powder X-ray diffraction pattern of Y6Mn14Fe9 (DFT lattice parameters and positions (PBE); Cu Ka).
Kinematic intensities with the Lorentz-polarization factor, no thermal factor.

The 10 most intense peaks (2θ from 15° to 90°), low angle first:
- d = 2.734 Å, 32.76°, intensity 17.3
- d = 2.433 Å, 36.95°, intensity 22.9
- d = 2.293 Å, 39.28°, intensity 78.6
- d = 2.107 Å, 42.93°, intensity 100.0
- d = 2.014 Å, 45.00°, intensity 20.3
- d = 1.986 Å, 45.68°, intensity 15.0
- d = 1.456 Å, 63.95°, intensity 16.8
- d = 1.404 Å, 66.59°, intensity 21.0
- d = 1.216 Å, 78.67°, intensity 14.3
- d = 1.198 Å, 80.13°, intensity 14.9

Crystal structure
```
data_Y6Mn14Fe9
_space_group_name_H-M_alt 'F m -3 m'
_space_group_IT_number 225
_space_group_name_Hall '-F 4 2 3'
_cell_length_a 11.917
_cell_length_b 11.917
_cell_length_c 11.917
_cell_angle_alpha 90.00
_cell_angle_beta 90.00
_cell_angle_gamma 90.00
loop_
_atom_site_label
_atom_site_fract_x
_atom_site_fract_y
_atom_site_fract_z
Y1 0.000 0.000 0.204
Mn1 0.000 0.250 0.250
Mn2 0.122 0.122 0.378
Fe1 0.000 0.000 0.500
Fe2 0.180 0.180 0.180
```